No. 1
Diffraction record for ZnSiP2. The PXRD pattern is simulated, not measured: it uses a cell relaxed with GGA-PBE and Cu Kα (weighted mean of Kα1 and Kα2).
Peak positions follow from Bragg's law for the DFT cell and can differ from measured ones.

Top 9 peaks for 10 to 80 degrees two-theta, in order of rising 2θ:
2theta	d/Å	I (rel.)
24.79	3.591	18
28.70	3.110	7
41.04	2.199	100
48.54	1.876	9
50.85	1.796	2
59.43	1.555	16
65.39	1.427	3
67.32	1.391	3
74.76	1.270	32

Cell: 6.2207 6.2207 6.2207 Å, 90.00 90.00 90.00°
Space group Fm-3m (No. 225)
Symmetry-distinct sites (fractional):
Zn  0.0000  0.0000  0.0000 [4 per cell]
Si  0.0000  0.0000  0.5000 [4 per cell]
P  0.2500  0.2500  0.2500 [8 per cell]

No. 2
Diffraction record for SmP5. The PXRD pattern is simulated, not measured: it uses a cell relaxed with GGA-PBE and Cu Kα (weighted mean of Kα1 and Kα2).
Peak positions follow from Bragg's law for the DFT cell and can differ from measured ones.

Top 10 peaks for 10 to 80 degrees two-theta, in order of rising 2θ:
2theta	d/Å	I (rel.)
18.60	4.770	31
19.14	4.637	48
23.88	3.727	64
26.07	3.418	100
27.23	3.275	36
28.82	3.097	51
28.93	3.086	45
32.84	2.728	34
35.10	2.556	46
41.46	2.178	43

Cell: 5.0129 9.5391 5.4273 Å, 90.00 102.10 90.00°
Space group P2_1/m (No. 11)
Symmetry-distinct sites (fractional):
Sm  0.0069  0.2500  0.3476 [2 per cell]
P  0.2842  0.2500  0.8974 [2 per cell]
P  0.2900  0.5294  0.4038 [4 per cell]
P  0.3843  0.5913  0.0464 [4 per cell]

No. 3
Diffraction record for SmZn3P3. The PXRD pattern is simulated, not measured: it uses a cell relaxed with GGA-PBE and Cu Kα (weighted mean of Kα1 and Kα2).
Peak positions follow from Bragg's law for the DFT cell and can differ from measured ones.

Top 10 peaks for 10 to 80 degrees two-theta, in order of rising 2θ:
2theta	d/Å	I (rel.)
27.04	3.298	100
31.23	2.864	67
34.07	2.632	37
35.90	2.501	30
37.28	2.412	58
44.94	2.017	71
52.72	1.736	17
53.24	1.721	15
58.82	1.570	41
59.77	1.547	14

Cell: 4.0337 4.0337 20.0095 Å, 90.00 90.00 120.00°
Space group P6_3/mmc (No. 194)
Symmetry-distinct sites (fractional):
Sm  0.0000  0.0000  0.0000 [2 per cell]
Zn  0.3333  0.6667  0.1289 [4 per cell]
Zn  0.3333  0.6667  0.7500 [2 per cell]
P  0.3333  0.6667  0.2500 [2 per cell]
P  0.3333  0.6667  0.5861 [4 per cell]

No. 4
Diffraction record for SnP. The PXRD pattern is simulated, not measured: it uses a cell relaxed with GGA-PBE and Cu Kα (weighted mean of Kα1 and Kα2).
Peak positions follow from Bragg's law for the DFT cell and can differ from measured ones.

Top 10 peaks for 10 to 80 degrees two-theta, in order of rising 2θ:
2theta	d/Å	I (rel.)
12.87	6.877	17
25.91	3.439	10
27.87	3.201	100
36.04	2.492	42
43.33	2.088	34
46.93	1.936	19
52.31	1.749	18
57.59	1.601	11
70.20	1.341	15
74.73	1.270	11

Cell: 4.1763 4.1763 6.8772 Å, 90.00 90.00 120.00°
Space group P-3m1 (No. 164)
Symmetry-distinct sites (fractional):
Sn  0.3333  0.6667  0.1661 [2 per cell]
P  0.0000  0.0000  0.3409 [2 per cell]

No. 5
Diffraction record for SnP. The PXRD pattern is simulated, not measured: it uses a cell relaxed with GGA-PBE and Cu Kα (weighted mean of Kα1 and Kα2).
Peak positions follow from Bragg's law for the DFT cell and can differ from measured ones.

Top 10 peaks for 10 to 80 degrees two-theta, in order of rising 2θ:
2theta	d/Å	I (rel.)
27.32	3.265	100
29.28	3.051	50
32.77	2.733	84
44.51	2.035	64
47.03	1.932	31
50.73	1.800	30
55.24	1.663	32
56.37	1.632	32
71.66	1.317	22
78.22	1.222	15

Cell: 3.8644 3.8644 6.1011 Å, 90.00 90.00 90.00°
Space group I4mm (No. 107)
Symmetry-distinct sites (fractional):
Sn  0.0000  0.0000  0.0000 [2 per cell]
P  0.0000  0.0000  0.4319 [2 per cell]

No. 6
Diffraction record for Sn3P4. The PXRD pattern is simulated, not measured: it uses a cell relaxed with GGA-PBE and Cu Kα (weighted mean of Kα1 and Kα2).
Peak positions follow from Bragg's law for the DFT cell and can differ from measured ones.

Top 10 peaks for 10 to 80 degrees two-theta, in order of rising 2θ:
2theta	d/Å	I (rel.)
21.73	4.090	16
24.53	3.629	36
25.44	3.501	100
27.36	3.260	18
29.58	3.020	33
36.19	2.482	24
42.42	2.131	25
43.80	2.067	25
45.35	2.000	20
46.52	1.952	20

Cell: 7.0365 5.1165 10.8800 Å, 90.00 104.73 90.00°
Space group C2 (No. 5)
Symmetry-distinct sites (fractional):
Sn  0.0000  0.0000  0.0000 [2 per cell]
Sn  0.2060  0.0415  0.6281 [4 per cell]
P  0.1018  0.5445  0.6891 [4 per cell]
P  0.2200  0.7908  0.8544 [4 per cell]

No. 7
Diffraction record for Sn16P15. The PXRD pattern is simulated, not measured: it uses a cell relaxed with GGA-PBE and Cu Kα (weighted mean of Kα1 and Kα2).
Peak positions follow from Bragg's law for the DFT cell and can differ from measured ones.

Top 10 peaks for 10 to 80 degrees two-theta, in order of rising 2θ:
2theta	d/Å	I (rel.)
14.45	6.131	43
19.30	4.598	100
19.95	4.450	60
22.49	3.953	96
24.00	3.707	38
30.09	2.970	92
34.14	2.627	55
35.20	2.549	71
37.07	2.425	45
38.03	2.366	36

Cell: 4.6633 5.4132 36.8579 Å, 89.53 86.45 72.92°
Space group P1 (No. 1)
Symmetry-distinct sites (fractional):
Sn  0.0000  0.0000  0.0000 [1 per cell]
Sn  0.0044  0.2492  0.8409 [1 per cell]
Sn  0.0978  0.1593  0.2268 [1 per cell]
Sn  0.1365  0.2860  0.1344 [1 per cell]
Sn  0.2263  0.3128  0.7092 [1 per cell]
Sn  0.3748  0.3637  0.9990 [1 per cell]
Sn  0.3886  0.5737  0.8503 [1 per cell]
Sn  0.4013  0.7495  0.7460 [1 per cell]
Sn  0.4271  0.4698  0.6289 [1 per cell]
Sn  0.4505  0.5234  0.4966 [1 per cell]
Sn  0.5532  0.7243  0.3470 [1 per cell]
Sn  0.7038  0.8361  0.2429 [1 per cell]
Sn  0.7435  0.8731  0.6448 [1 per cell]
Sn  0.7529  0.9557  0.1401 [1 per cell]
Sn  0.8265  0.9154  0.4908 [1 per cell]
Sn  0.8743  0.1345  0.3767 [1 per cell]
P  0.0795  0.6284  0.1858 [1 per cell]
P  0.1496  0.4126  0.3322 [1 per cell]
P  0.1581  0.4583  0.0682 [1 per cell]
P  0.1788  0.5471  0.5639 [1 per cell]
P  0.2398  0.1307  0.9034 [1 per cell]
P  0.2468  0.1583  0.4710 [1 per cell]
P  0.3132  0.5065  0.9254 [1 per cell]
P  0.3326  0.1379  0.4137 [1 per cell]
P  0.4721  0.9342  0.8092 [1 per cell]
P  0.7883  0.9683  0.7137 [1 per cell]
P  0.8300  0.9330  0.5631 [1 per cell]
P  0.8704  0.4363  0.2867 [1 per cell]
P  0.9317  0.8511  0.0710 [1 per cell]
P  0.9574  0.8978  0.9295 [1 per cell]
P  0.9750  0.2324  0.5925 [1 per cell]

No. 8
Diffraction record for SnP3. The PXRD pattern is simulated, not measured: it uses a cell relaxed with GGA-PBE and Cu Kα (weighted mean of Kα1 and Kα2).
Peak positions follow from Bragg's law for the DFT cell and can differ from measured ones.

Top 10 peaks for 10 to 80 degrees two-theta, in order of rising 2θ:
2theta	d/Å	I (rel.)
21.53	4.128	48
23.75	3.746	44
32.27	2.774	100
36.32	2.473	21
40.46	2.230	29
43.86	2.064	33
48.61	1.873	31
53.74	1.706	12
57.20	1.610	12
59.55	1.552	16

Cell: 7.4928 7.4928 10.7013 Å, 90.00 90.00 120.00°
Space group R-3m (No. 166, hexagonal axes)
Symmetry-distinct sites (fractional):
Sn  0.0000  0.0000  0.2427 [6 per cell]
P  0.0306  0.5153  0.2161 [18 per cell]

No. 9
Diffraction record for SnP. The PXRD pattern is simulated, not measured: it uses a cell relaxed with GGA-PBE and Cu Kα (weighted mean of Kα1 and Kα2).
Peak positions follow from Bragg's law for the DFT cell and can differ from measured ones.

Top 8 peaks for 10 to 80 degrees two-theta, in order of rising 2θ:
2theta	d/Å	I (rel.)
27.63	3.229	67
32.01	2.796	100
45.90	1.977	73
54.41	1.686	34
57.05	1.614	26
66.93	1.398	12
73.87	1.283	15
76.12	1.250	35

Cell: 5.5923 5.5923 5.5923 Å, 90.00 90.00 90.00°
Space group Fm-3m (No. 225)
Symmetry-distinct sites (fractional):
Sn  0.0000  0.0000  0.0000 [4 per cell]
P  0.0000  0.0000  0.5000 [4 per cell]

No. 10
Diffraction record for ZnSnP2. The PXRD pattern is simulated, not measured: it uses a cell relaxed with GGA-PBE and Cu Kα (weighted mean of Kα1 and Kα2).
Peak positions follow from Bragg's law for the DFT cell and can differ from measured ones.

Top 10 peaks for 10 to 80 degrees two-theta, in order of rising 2θ:
2theta	d/Å	I (rel.)
22.07	4.028	5
27.10	3.291	100
31.39	2.850	22
35.22	2.548	4
44.98	2.015	58
53.30	1.719	46
55.87	1.645	6
65.55	1.424	6
72.25	1.308	18
74.48	1.274	5

Cell: 4.0277 4.0277 5.7084 Å, 90.00 90.00 90.00°
Space group P-4m2 (No. 115)
Symmetry-distinct sites (fractional):
Zn  0.0000  0.0000  0.0000 [1 per cell]
Sn  0.5000  0.5000  0.5000 [1 per cell]
P  0.0000  0.5000  0.2271 [2 per cell]

No. 11
Diffraction record for ZnSnP2. The PXRD pattern is simulated, not measured: it uses a cell relaxed with GGA-PBE and Cu Kα (weighted mean of Kα1 and Kα2).
Peak positions follow from Bragg's law for the DFT cell and can differ from measured ones.

Top 10 peaks for 10 to 80 degrees two-theta, in order of rising 2θ:
2theta	d/Å	I (rel.)
17.37	5.106	6
27.04	3.297	100
31.33	2.855	22
36.06	2.491	4
44.89	2.019	58
53.20	1.722	46
55.76	1.649	6
65.42	1.427	6
72.09	1.310	18
74.32	1.276	5

Cell: 5.7066 5.7066 11.4380 Å, 90.00 90.00 90.00°
Space group I-42d (No. 122)
Symmetry-distinct sites (fractional):
Zn  0.0000  0.0000  0.0000 [4 per cell]
Sn  0.0000  0.0000  0.5000 [4 per cell]
P  0.2284  0.2500  0.1250 [8 per cell]

No. 12
Diffraction record for Zr5Sn3P. The PXRD pattern is simulated, not measured: it uses a cell relaxed with GGA-PBE and Cu Kα (weighted mean of Kα1 and Kα2).
Peak positions follow from Bragg's law for the DFT cell and can differ from measured ones.

Top 10 peaks for 10 to 80 degrees two-theta, in order of rising 2θ:
2theta	d/Å	I (rel.)
29.89	2.989	19
31.65	2.827	18
35.11	2.556	100
36.02	2.493	49
36.56	2.458	81
46.33	1.960	25
52.26	1.750	15
56.50	1.629	25
62.08	1.495	16
70.38	1.338	16

Cell: 8.6372 8.6372 5.9777 Å, 90.00 90.00 120.00°
Space group P6_3/mcm (No. 193)
Symmetry-distinct sites (fractional):
Zr  0.0000  0.2487  0.2500 [6 per cell]
Zr  0.3333  0.6667  0.0000 [4 per cell]
Sn  0.0000  0.3995  0.7500 [6 per cell]
P  0.0000  0.0000  0.0000 [2 per cell]